Structure and simulated powder X-ray diffraction pattern of Ta2Re2SnSe8 (a structure optimized by DFT (PBE); Cu Kα, 1.54184 Å).

Main lines, most intense first (10 to 90 degrees two-theta):
d_spacing, 2θ/deg, intensity, index
8.099, 10.92, 1000, 0 0 4
2.400, 37.48, 567, 1 0 8
1.720, 53.25, 214, 1 1 0
2.796, 32.01, 198, 0 1 4
2.930, 30.51, 190, 0 1 2
2.001, 45.33, 153, 1 0 12
2.979, 29.99, 132, 1 0 0
2.193, 41.16, 116, 0 1 10
1.683, 54.54, 108, 1 1 4
1.398, 66.93, 105, 0 2 8

Structural model:
Cell lengths 3.4404, 3.4404, 32.3955 Å; angles 90.00, 90.00, 120.00 degrees
Space group P3m1 (No. 156)
Inequivalent atoms, fractional coordinates:
Ta 0.0000 0.0000 0.0000 x1
Ta 0.0000 0.0000 0.4891 x1
Re 0.0000 0.0000 0.2393 x1
Re 0.0000 0.0000 0.7266 x1
Sn 0.0000 0.0000 0.8667 x1
Se 0.3333 0.6667 0.0519 x1
Se 0.3333 0.6667 0.4371 x1
Se 0.3333 0.6667 0.5411 x1
Se 0.3333 0.6667 0.9475 x1
Se 0.6667 0.3333 0.1912 x1
Se 0.6667 0.3333 0.2873 x1
Se 0.6667 0.3333 0.6785 x1
Se 0.6667 0.3333 0.7773 x1